The following is a computed powder diffraction line list of NpNiPb2O6. It was derived from a crystal structure in Alexandria, relaxed with GGA+U, using copper Kα.

Most intense lines, 2θ from 10° to 90°, sorted by position:
2θ 18.6, 4.762 Å, intensity 12.9; 2θ 30.7, 2.916 Å, intensity 100.0; 2θ 36.1, 2.487 Å, intensity 7.9; 2θ 37.8, 2.381 Å, intensity 3.8; 2θ 43.9, 2.062 Å, intensity 27.0; 2θ 54.5, 1.684 Å, intensity 41.6; 2θ 63.8, 1.458 Å, intensity 17.3; 2θ 72.5, 1.304 Å, intensity 18.3; 2θ 80.7, 1.191 Å, intensity 5.9; 2θ 88.8, 1.102 Å, intensity 23.1

Atomic structure:
```
data_NpNiPb2O6
_chemical_formula_sum 'Np1 Ni1 Pb2 O6'
_symmetry_space_group_name_H-M 'P 1'
_symmetry_Int_Tables_number 1
_symmetry_space_group_name_Hall 'P 1'
_cell_length_a 5.8325
_cell_length_b 5.8325
_cell_length_c 5.8325
_cell_angle_alpha 60.00
_cell_angle_beta 60.00
_cell_angle_gamma 60.00
loop_
_atom_site_label
_atom_site_fract_x
_atom_site_fract_y
_atom_site_fract_z
Np1 0.0000 0.0000 0.0000
Ni1 0.5000 0.5000 0.5000
Pb1 0.2500 0.2500 0.2500
Pb2 0.7500 0.7500 0.7500
O1 0.2507 0.2507 0.7493
O2 0.2507 0.7493 0.2507
O3 0.2507 0.7493 0.7493
O4 0.7493 0.2507 0.2507
O5 0.7493 0.2507 0.7493
O6 0.7493 0.7493 0.2507
```